Record 1
Structure and simulated powder diffraction line list of Mg3Sc5 (a DFT-relaxed cell (PBE, Alexandria); Cu Kα X-rays).
Neutral-atom scattering factors, no anomalous dispersion.

The 6 most intense peaks (2θ = 10–80°), by angle:
| d [Å] | 2θ (°) | Rel. int. | hkl |
| --- | --- | --- | --- |
| 2.816 | 31.77 | 57 | 3 2 1 |
| 2.735 | 32.74 | 20 | 0 0 2 |
| 2.649 | 33.84 | 72 | 4 2 0 |
| 2.543 | 35.29 | 100 | 4 1 1 |
| 2.483 | 36.17 | 43 | 2 0 2 |
| 2.290 | 39.35 | 38 | 2 2 2 |

Atomic structure:
```
data_Mg3Sc5
_cell_length_a 11.8447
_cell_length_b 11.8447
_cell_length_c 5.4703
_cell_angle_alpha 90.00
_cell_angle_beta 90.00
_cell_angle_gamma 90.00
_symmetry_space_group_name_H-M 'I 4/m c m'
_symmetry_Int_Tables_number 140
_symmetry_space_group_name_Hall '-I 4 2c'
loop_
_atom_site_label
_atom_site_type_symbol
_atom_site_fract_x
_atom_site_fract_y
_atom_site_fract_z
Mg1 Mg 0.0000 0.0000 0.2500
Mg2 Mg 0.1690 0.3310 0.0000
Sc1 Sc 0.0000 0.5000 0.2500
Sc2 Sc 0.0812 0.2275 0.5000
```

Record 2
Structure and simulated powder diffraction line list of MgSc3 (a DFT-relaxed cell (PBE, Alexandria); Cu Kα X-rays).
Neutral-atom scattering factors, no anomalous dispersion.

The 6 most intense peaks (2θ = 10–80°), by angle:
| d [Å] | 2θ (°) | Rel. int. | hkl |
| --- | --- | --- | --- |
| 2.817 | 31.77 | 25 | 1 0 0 |
| 2.658 | 33.73 | 26 | 0 0 4 |
| 2.489 | 36.09 | 100 | 1 0 2 |
| 1.626 | 56.60 | 16 | 1 1 0 |
| 1.500 | 61.87 | 17 | 1 0 6 |
| 1.387 | 67.53 | 18 | 1 1 4 |

Atomic structure:
```
data_MgSc3
_cell_length_a 3.2523
_cell_length_b 3.2523
_cell_length_c 10.6303
_cell_angle_alpha 90.00
_cell_angle_beta 90.00
_cell_angle_gamma 120.00
_symmetry_space_group_name_H-M 'P -6 m 2'
_symmetry_Int_Tables_number 187
_symmetry_space_group_name_Hall 'P -6 2'
loop_
_atom_site_label
_atom_site_type_symbol
_atom_site_fract_x
_atom_site_fract_y
_atom_site_fract_z
Mg1 Mg 0.0000 0.0000 0.0000
Sc1 Sc 0.0000 0.0000 0.5000
Sc2 Sc 0.6667 0.3333 0.2579
```

Record 3
Structure and simulated powder diffraction line list of Mg7Sc (a DFT-relaxed cell (PBE, Alexandria); Cu Kα X-rays).
Neutral-atom scattering factors, no anomalous dispersion.

The 6 most intense peaks (2θ = 10–80°), by angle:
| d [Å] | 2θ (°) | Rel. int. | hkl |
| --- | --- | --- | --- |
| 2.605 | 34.43 | 100 | 1 1 4 |
| 2.290 | 39.34 | 17 | 0 0 8 |
| 2.239 | 40.28 | 32 | 2 0 0 |
| 1.601 | 57.57 | 21 | 2 0 8 |
| 1.375 | 68.18 | 12 | 1 1 12 |
| 1.353 | 69.48 | 23 | 3 1 4 |

Atomic structure:
```
data_Mg7Sc
_cell_length_a 4.4779
_cell_length_b 4.4779
_cell_length_c 18.3238
_cell_angle_alpha 90.00
_cell_angle_beta 90.00
_cell_angle_gamma 90.00
_symmetry_space_group_name_H-M 'I 4/m m m'
_symmetry_Int_Tables_number 139
_symmetry_space_group_name_Hall '-I 4 2'
loop_
_atom_site_label
_atom_site_type_symbol
_atom_site_fract_x
_atom_site_fract_y
_atom_site_fract_z
Mg1 Mg 0.0000 0.0000 0.0000
Mg2 Mg 0.0000 0.0000 0.2536
Mg3 Mg 0.0000 0.5000 0.1247
Sc1 Sc 0.0000 0.0000 0.5000
```